The following is a simulated powder diffractogram of NaLaHfZrO6. It was derived from the PBE geometry in Alexandria, using Cu Kα (λ = 1.5418 Å).

Main lines, low angle first (10 to 90 degrees two-theta):
(hkl)	d/Å	intensity
1 1 1	4.777	275
2 0 0	4.137	160
2 2 0	2.925	1000
3 1 1	2.494	159
4 0 0	2.068	325
3 3 1	1.898	72
4 2 2	1.689	405
4 4 0	1.463	199
6 2 0	1.308	174
6 4 2	1.106	212

Crystal structure
Cell lengths 8.273, 8.273, 8.273 Å; angles 90.00, 90.00, 90.00 degrees
Space group F-43m (No. 216)
Symmetry-distinct sites (fractional):
Na 0.000 0.000 0.000 [4 per cell]
La 0.000 0.000 0.500 [4 per cell]
Hf 0.250 0.250 0.250 [4 per cell]
Zr 0.250 0.250 0.750 [4 per cell]
O 0.002 0.250 0.250 [24 per cell]

=====

The following is a simulated powder diffractogram of LaHfNbTl2. It was derived from the PBE geometry in Alexandria, using Cu Kα (λ = 1.5418 Å).

Main lines, low angle first (10 to 90 degrees two-theta):
(hkl)	d/Å	intensity
0 0 1	5.442	782
1 1 1	3.144	847
2 0 0	2.726	909
0 0 2	2.717	450
2 0 1	2.436	433
2 2 0	1.925	1000
3 1 1	1.643	256
2 2 2	1.572	349
4 2 0	1.219	302
4 2 2	1.112	235

Crystal structure
Cell lengths 5.452, 5.452, 5.434 Å; angles 90.00, 90.00, 90.00 degrees
Space group P4/mmm (No. 123)
Symmetry-distinct sites (fractional):
La 0.000 0.000 0.000 [1 per cell]
Hf 0.000 0.000 0.500 [1 per cell]
Nb 0.500 0.500 0.000 [1 per cell]
Tl 0.000 0.500 0.500 [2 per cell]

=====

The following is a simulated powder diffractogram of LaHf2Ni9. It was derived from the PBE geometry in Alexandria, using Cu Kα (λ = 1.5418 Å).

Main lines, low angle first (10 to 90 degrees two-theta):
(hkl)	d/Å	intensity
0 0 3	7.961	188
1 0 7	2.665	458
1 1 0	2.464	557
0 1 8	2.446	319
0 2 1	2.125	371
1 1 6	2.095	1000
2 0 5	1.948	174
0 1 11	1.935	175
0 3 6	1.340	224
2 2 0	1.232	216

Crystal structure
Cell lengths 4.9277, 4.9277, 23.8833 Å; angles 90.00, 90.00, 120.00 degrees
Space group R-3m (No. 166, hexagonal axes)
Symmetry-distinct sites (fractional):
La 0.0000 0.0000 0.0000 [3 per cell]
Hf 0.0000 0.0000 0.1416 [6 per cell]
Ni 0.0000 0.0000 0.3334 [6 per cell]
Ni 0.0000 0.0000 0.5000 [3 per cell]
Ni 0.0056 0.5028 0.9127 [18 per cell]

=====

The following is a simulated powder diffractogram of La2HfO5. It was derived from the PBE geometry in Alexandria, using Cu Kα (λ = 1.5418 Å).

Main lines, low angle first (10 to 90 degrees two-theta):
(hkl)	d/Å	intensity
2 0 3	3.182	1000
2 1 0	2.755	359
0 2 0	1.952	92
4 0 0	1.948	360
2 2 3	1.662	298
2 0 9	1.660	124
4 0 6	1.590	53
6 0 3	1.264	126
6 1 0	1.232	105
6 1 6	1.124	70

Crystal structure
Cell lengths 7.789, 3.904, 16.513 Å; angles 90.00, 90.00, 90.00 degrees
Space group Pnma (No. 62)
Symmetry-distinct sites (fractional):
La 0.118 0.250 0.082 [4 per cell]
La 0.136 0.250 0.744 [4 per cell]
Hf 0.121 0.250 0.429 [4 per cell]
O 0.089 0.750 0.651 [4 per cell]
O 0.091 0.750 0.466 [4 per cell]
O 0.105 0.750 0.173 [4 per cell]
O 0.151 0.750 0.997 [4 per cell]
O 0.219 0.750 0.831 [4 per cell]

=====

The following is a simulated powder diffractogram of La3YHf4O14. It was derived from the PBE geometry in Alexandria, using Cu Kα (λ = 1.5418 Å).

Main lines, low angle first (10 to 90 degrees two-theta):
(hkl)	d/Å	intensity
0 0 6	3.154	357
2 0 2	3.032	1000
0 2 4	2.651	452
2 0 8	1.902	352
2 2 0	1.848	324
0 2 10	1.629	165
2 2 6	1.595	293
0 4 2	1.578	180
0 4 8	1.326	101
4 2 2	1.200	210

Crystal structure
Cell lengths 7.3927, 7.3927, 18.9210 Å; angles 90.00, 90.00, 120.00 degrees
Space group R-3m (No. 166, hexagonal axes)
Symmetry-distinct sites (fractional):
La 0.0000 0.5000 0.0000 [9 per cell]
Y 0.0000 0.0000 0.5000 [3 per cell]
Hf 0.0000 0.0000 0.0000 [3 per cell]
Hf 0.0000 0.5000 0.5000 [9 per cell]
O 0.0000 0.0000 0.1388 [6 per cell]
O 0.0042 0.5021 0.1239 [18 per cell]
O 0.0268 0.5134 0.6178 [18 per cell]

=====

The following is a simulated powder diffractogram of La2HfScP4. It was derived from the PBE geometry in Alexandria, using Cu Kα (λ = 1.5418 Å).

Main lines, low angle first (10 to 90 degrees two-theta):
(hkl)	d/Å	intensity
0 0 2	3.282	188
2 0 0	3.246	523
1 1 1	2.819	1000
2 0 2	2.002	349
0 2 0	1.985	360
3 1 -3	1.698	176
4 0 0	1.623	185
3 1 3	1.265	144
4 2 0	1.256	157
5 1 1	1.149	116

Crystal structure
Cell lengths 6.877, 3.969, 6.951 Å; angles 90.00, 109.18, 90.00 degrees
Space group P2/m (No. 10)
Symmetry-distinct sites (fractional):
La 0.000 0.000 0.000 [1 per cell]
La 0.500 0.500 0.000 [1 per cell]
Hf 0.000 0.500 0.500 [1 per cell]
Sc 0.500 0.000 0.500 [1 per cell]
P 0.236 0.000 0.717 [2 per cell]
P 0.257 0.500 0.282 [2 per cell]

=====

The following is a simulated powder diffractogram of La3HfPt. It was derived from the PBE geometry in Alexandria, using Cu Kα (λ = 1.5418 Å).

Main lines, low angle first (10 to 90 degrees two-theta):
(hkl)	d/Å	intensity
1 0 0	5.589	137
1 1 0	3.952	419
1 1 1	3.227	588
2 0 0	2.795	1000
2 1 1	2.282	201
2 2 0	1.976	740
3 1 1	1.685	267
2 2 2	1.613	259
4 2 0	1.250	333
4 2 2	1.141	255

Crystal structure
Cell lengths 5.589, 5.589, 5.589 Å; angles 90.00, 90.00, 90.00 degrees
Space group Pm-3m (No. 221)
Symmetry-distinct sites (fractional):
La 0.000 0.000 0.500 [3 per cell]
Hf 0.000 0.000 0.000 [1 per cell]
Pt 0.500 0.500 0.500 [1 per cell]

=====

The following is a simulated powder diffractogram of Rb3La3HfS8. It was derived from the PBE geometry in Alexandria, using Cu Kα (λ = 1.5418 Å).

Main lines, low angle first (10 to 90 degrees two-theta):
(hkl)	d/Å	intensity
0 0 3	7.813	490
1 0 1	6.917	146
0 0 6	3.906	222
2 0 2	3.458	402
0 2 4	3.079	1000
2 0 8	2.277	350
2 2 0	2.090	335
0 2 10	1.967	148
2 2 6	1.843	189
4 0 4	1.729	170

Crystal structure
Cell lengths 8.3587, 8.3587, 23.4389 Å; angles 90.00, 90.00, 120.00 degrees
Space group R-3m (No. 166, hexagonal axes)
Symmetry-distinct sites (fractional):
Rb 0.0000 0.5000 0.0000 [9 per cell]
La 0.0000 0.5000 0.5000 [9 per cell]
Hf 0.0000 0.0000 0.5000 [3 per cell]
S 0.0000 0.0000 0.2330 [6 per cell]
S 0.0326 0.5163 0.2276 [18 per cell]

=====

The following is a simulated powder diffractogram of LaHfTiSb. It was derived from the PBE geometry in Alexandria, using Cu Kα (λ = 1.5418 Å).

Main lines, low angle first (10 to 90 degrees two-theta):
(hkl)	d/Å	intensity
0 0 1	5.242	224
1 1 -1	2.678	1000
0 0 2	2.621	471
2 0 0	2.503	413
1 1 1	2.272	626
2 0 -2	2.255	306
1 1 -3	1.630	221
3 1 -1	1.573	195
0 2 2	1.405	133
3 1 1	1.328	171

Crystal structure
Cell lengths 5.357, 3.329, 5.609 Å; angles 90.00, 110.85, 90.00 degrees
Space group P2/m (No. 10)
Symmetry-distinct sites (fractional):
La 0.000 0.000 0.000 [1 per cell]
Hf 0.500 0.500 0.000 [1 per cell]
Ti 0.500 0.000 0.500 [1 per cell]
Sb 0.000 0.500 0.500 [1 per cell]

=====

The following is a simulated powder diffractogram of La2TbHf. It was derived from the PBE geometry in Alexandria, using Cu Kα (λ = 1.5418 Å).

Main lines, low angle first (10 to 90 degrees two-theta):
(hkl)	d/Å	intensity
1 1 1	2.871	1000
2 0 0	2.520	349
0 0 2	2.424	157
2 2 0	1.782	124
2 0 2	1.747	233
3 1 1	1.514	291
1 1 3	1.472	132
2 2 2	1.436	122
3 3 1	1.154	61
3 1 3	1.135	116

Crystal structure
Cell lengths 5.039, 5.039, 4.849 Å; angles 90.00, 90.00, 90.00 degrees
Space group P4/mmm (No. 123)
Symmetry-distinct sites (fractional):
La 0.000 0.500 0.000 [2 per cell]
Tb 0.000 0.000 0.500 [1 per cell]
Hf 0.500 0.500 0.500 [1 per cell]

=====

The following is a simulated powder diffractogram of LaHfTl3. It was derived from the PBE geometry in Alexandria, using Cu Kα (λ = 1.5418 Å).

Main lines, low angle first (10 to 90 degrees two-theta):
(hkl)	d/Å	intensity
1 0 0	5.498	366
1 1 1	3.174	733
2 0 0	2.749	1000
2 1 0	2.459	202
2 2 0	1.944	743
3 1 1	1.658	340
2 2 2	1.587	261
3 3 1	1.261	139
4 2 0	1.229	339
4 2 2	1.122	263

Crystal structure
Cell lengths 5.498, 5.498, 5.498 Å; angles 90.00, 90.00, 90.00 degrees
Space group Pm-3m (No. 221)
Symmetry-distinct sites (fractional):
La 0.000 0.000 0.000 [1 per cell]
Hf 0.500 0.500 0.500 [1 per cell]
Tl 0.000 0.500 0.500 [3 per cell]

=====

The following is a simulated powder diffractogram of Li8Hf3. It was derived from the PBE geometry in Alexandria, using Cu Kα (λ = 1.5418 Å).

Main lines, low angle first (10 to 90 degrees two-theta):
(hkl)	d/Å	intensity
1 1 0	6.661	1000
2 0 0	4.710	151
2 1 1	3.846	134
2 2 2	2.719	421
3 2 1	2.518	398
4 0 0	2.355	202
3 3 2	2.008	209
5 1 0	1.847	183
6 2 2	1.420	139
7 3 2	1.196	130

Crystal structure
Cell lengths 9.420, 9.420, 9.420 Å; angles 90.00, 90.00, 90.00 degrees
Space group Im-3m (No. 229)
Symmetry-distinct sites (fractional):
Li 0.000 0.352 0.352 [24 per cell]
Li 0.250 0.250 0.250 [8 per cell]
Hf 0.000 0.000 0.226 [12 per cell]